Starting from a structure optimized by DFT (GGA-PBE), the powder XRD pattern of Th2ZnCdOs was simulated for λ = 1.5418 Å (Cu Kα).
No peak broadening, texture or thermal motion is included.

Main lines, in order of rising 2θ (10° ≤ 2θ ≤ 90°):
(hkl)  two_theta  intensity
1 0 0  11.87  36
2 0 1  27.85  36
0 1 2  30.78  36
2 1 0  31.02  19
1 1 -2  32.08  100
3 0 0  36.13  18
0 2 0  39.65  39
2 1 2  41.00  35
3 1 -1  41.96  26
4 1 -2  56.27  16

```
data_Th2ZnCdOs
_chemical_formula_sum 'Th4 Zn2 Cd2 Os2'
_cell_length_a 7.505
_cell_length_b 4.546
_cell_length_c 7.600
_cell_angle_alpha 90.00
_cell_angle_beta 96.47
_cell_angle_gamma 90.00
_space_group_name_H-M_alt 'P 1 21/m 1'
_space_group_IT_number 11
_space_group_name_Hall '-P 2yb'
loop_
_atom_site_label
_atom_site_fract_x
_atom_site_fract_y
_atom_site_fract_z
_atom_site_occupancy
Th1 0.139 0.250 0.421 1
Th2 0.202 0.250 0.970 1
Zn1 0.476 0.750 0.311 1
Cd1 0.338 0.750 0.685 1
Os1 0.149 0.750 0.209 1
```